[1]
Theoretical XRD peak list
Compound: Er2Zn12Ni5
Radiation: λ = 1.5418 Å (Cu Kα)
Structure: a structure optimized by DFT (PBE)

Principal peaks in the range 10 to 90 degrees two-theta, in order of rising 2θ:
2theta  d (Å)  intensity
29.4  3.041  32.0
35.4  2.535  39.9
41.1  2.195  64.0
41.6  2.172  100.0
42.9  2.107  61.1
46.6  1.947  24.9

Structure:
Unit cell a=6.5936 b=6.5936 c=6.5936 alpha=83.51 beta=83.51 gamma=83.51
Fractional coordinates of all 19 atoms:
Er (0.1731, 0.1731, 0.1731)
Er (0.8269, 0.8269, 0.8269)
Zn (0.1543, 0.1544, 0.6430)
Zn (0.1543, 0.6430, 0.1543)
Zn (0.2119, 0.5000, 0.7881)
Zn (0.2119, 0.7881, 0.5000)
Zn (0.3570, 0.8456, 0.8456)
Zn (0.5000, 0.2119, 0.7881)
Zn (0.5000, 0.7881, 0.2119)
Zn (0.6430, 0.1544, 0.1544)
Zn (0.7881, 0.2119, 0.5000)
Zn (0.7881, 0.5000, 0.2119)
Zn (0.8456, 0.3570, 0.8456)
Zn (0.8456, 0.8456, 0.3570)
Ni (0.0000, 0.5000, 0.5000)
Ni (0.3981, 0.3981, 0.3981)
Ni (0.5000, 0.0000, 0.5000)
Ni (0.5000, 0.5000, 0.0000)
Ni (0.6019, 0.6019, 0.6019)

---

[2]
Theoretical XRD peak list
Compound: Er4Zn5Ni2
Radiation: λ = 1.5418 Å (Cu Kα)
Structure: a structure optimized by DFT (PBE)

Principal peaks in the range 10 to 90 degrees two-theta, in order of rising 2θ:
2theta  d (Å)  intensity
34.3  2.615  100.0
35.3  2.543  87.2
36.0  2.496  75.1
37.9  2.371  47.9
39.8  2.264  47.7
40.8  2.212  48.8

Structure:
Unit cell a=6.9486 b=3.5953 c=8.7634 alpha=90.00 beta=93.65 gamma=90.00
Fractional coordinates of all 11 atoms:
Er (0.1710, 0.0000, 0.3595)
Er (0.2421, 0.0000, 0.9425)
Er (0.7579, 0.0000, 0.0575)
Er (0.8290, 0.0000, 0.6405)
Zn (0.1932, 0.5000, 0.6559)
Zn (0.4417, 0.5000, 0.1933)
Zn (0.5000, 0.5000, 0.5000)
Zn (0.5583, 0.5000, 0.8067)
Zn (0.8068, 0.5000, 0.3441)
Ni (0.0650, 0.5000, 0.1371)
Ni (0.9350, 0.5000, 0.8629)